1.
Simulated powder diffractogram
Compound: Mn
Radiation: Cu Kα
Structure: a DFT-relaxed cell (GGA-PBE, Alexandria)
No peak broadening, texture or thermal motion is included.

Structural model:
Cell lengths 2.438, 2.438, 2.438 Å; angles 113.39, 113.39, 101.89 degrees
Sites, in units of the cell vectors:
Mn  0.000  0.000  0.000

Largest 3 diffraction maxima, low angle first, 5 to 70 degrees two-theta:
d (Å)	I_rel
2.018	100
1.893	40
1.536	10

---

2.
Simulated powder diffractogram
Compound: Ga4BiAs3
Radiation: Cu Kα
Structure: a DFT-relaxed cell (GGA-PBE, Alexandria)
No peak broadening, texture or thermal motion is included.

Structural model:
Cell lengths 4.179, 7.276, 7.276 Å; angles 70.44, 90.00, 90.00 degrees
Sites, in units of the cell vectors:
Ga  0.000  0.000  0.000
Ga  0.000  0.484  0.484
Ga  0.500  0.466  0.993
Ga  0.500  0.993  0.466
Bi  0.500  0.860  0.860
As  0.000  0.361  0.860
As  0.000  0.860  0.361
As  0.500  0.359  0.359

Largest 6 diffraction maxima, low angle first, 5 to 70 degrees two-theta:
d (Å)	I_rel
3.423	100
2.098	61
2.090	12
1.791	15
1.788	16
1.784	15

---

3.
Simulated powder diffractogram
Compound: Zn4CuSi
Radiation: Cu Kα
Structure: a DFT-relaxed cell (GGA-PBE, Alexandria)
No peak broadening, texture or thermal motion is included.

Structural model:
Cell lengths 5.055, 5.055, 5.055 Å; angles 60.00, 60.00, 60.00 degrees
Sites, in units of the cell vectors:
Zn  0.125  0.125  0.125
Zn  0.125  0.125  0.626
Zn  0.125  0.626  0.125
Zn  0.626  0.125  0.125
Cu  0.750  0.750  0.750
Si  0.500  0.500  0.500

Largest 6 diffraction maxima, low angle first, 5 to 70 degrees two-theta:
d (Å)	I_rel
4.127	26
2.527	17
2.155	100
2.064	53
1.787	11
1.376	29

---

4.
Simulated powder diffractogram
Compound: Ce4ZrAs6
Radiation: Cu Kα
Structure: a DFT-relaxed cell (GGA-PBE, Alexandria)
No peak broadening, texture or thermal motion is included.

Structural model:
Cell lengths 8.134, 8.134, 8.134 Å; angles 89.03, 89.03, 89.03 degrees
Sites, in units of the cell vectors:
Ce  0.129  0.750  0.371
Ce  0.250  0.250  0.250
Ce  0.250  0.629  0.871
Ce  0.371  0.129  0.750
Ce  0.629  0.871  0.250
Ce  0.750  0.371  0.129
Ce  0.750  0.750  0.750
Ce  0.871  0.250  0.629
Zr  0.000  0.000  0.000
Zr  0.500  0.500  0.500
As  0.066  0.917  0.685
As  0.083  0.315  0.934
As  0.185  0.417  0.566
As  0.315  0.934  0.083
As  0.417  0.566  0.185
As  0.434  0.815  0.583
As  0.566  0.185  0.417
As  0.583  0.434  0.815
As  0.685  0.066  0.917
As  0.815  0.583  0.434
As  0.917  0.685  0.066
As  0.934  0.083  0.315

Largest 6 diffraction maxima, low angle first, 5 to 70 degrees two-theta:
d (Å)	I_rel
3.293	63
2.899	48
2.691	73
2.584	72
2.448	100
1.915	37

---

5.
Simulated powder diffractogram
Compound: HfTh2Se2Br4
Radiation: Cu Kα
Structure: a DFT-relaxed cell (GGA-PBE, Alexandria)
No peak broadening, texture or thermal motion is included.

Structural model:
Cell lengths 3.760, 3.760, 23.555 Å; angles 90.00, 90.00, 120.00 degrees
Sites, in units of the cell vectors:
Hf  0.000  0.000  0.000
Th  0.000  0.000  0.664
Th  0.667  0.333  0.316
Se  0.667  0.333  0.071
Se  0.667  0.333  0.930
Br  0.000  0.000  0.226
Br  0.000  0.000  0.406
Br  0.667  0.333  0.574
Br  0.667  0.333  0.754

Largest 6 diffraction maxima, low angle first, 5 to 70 degrees two-theta:
d (Å)	I_rel
7.852	100
3.256	33
2.850	41
2.679	45
2.340	23
1.880	28

---

6.
Simulated powder diffractogram
Compound: PrSm2YTe6
Radiation: Cu Kα
Structure: a DFT-relaxed cell (GGA-PBE, Alexandria)
No peak broadening, texture or thermal motion is included.

Structural model:
Cell lengths 8.458, 8.458, 8.458 Å; angles 55.43, 55.43, 55.43 degrees
Sites, in units of the cell vectors:
Pr  0.000  0.000  0.000
Sm  0.308  0.308  0.308
Sm  0.810  0.810  0.810
Y  0.497  0.497  0.497
Te  0.096  0.706  0.411
Te  0.221  0.591  0.897
Te  0.411  0.096  0.706
Te  0.591  0.897  0.221
Te  0.706  0.411  0.096
Te  0.897  0.221  0.591

Largest 6 diffraction maxima, low angle first, 5 to 70 degrees two-theta:
d (Å)	I_rel
5.747	31
3.445	100
2.642	88
2.271	60
2.035	23
1.722	23